1.
The following is a theoretical XRD peak list of AcNd2Y8. It was derived from DFT lattice parameters and positions (PBE), using Cu Kα, 1.54184 Å.

Largest 8 diffraction maxima, sorted by position, 2θ from 10° to 90°:
d_spacing  intensity  hkl
4.571  14  0 1 3
3.071  33  1 1 4
2.845  100  1 2 3
2.785  31  2 0 0
2.734  28  0 0 6
1.951  20  2 0 6
1.619  18  3 2 3
1.506  12  2 3 7

Structural model:
```
data_AcNd2Y8
_cell_length_a 5.570
_cell_length_b 8.306
_cell_length_c 16.424
_cell_angle_alpha 90.00
_cell_angle_beta 90.00
_cell_angle_gamma 90.00
_symmetry_space_group_name_H-M 'I m m m'
_symmetry_Int_Tables_number 71
_symmetry_space_group_name_Hall '-I 2 2'
loop_
_atom_site_label
_atom_site_fract_x
_atom_site_fract_y
_atom_site_fract_z
Ac1 0.000 0.000 0.000
Nd1 0.000 0.000 0.301
Y1 0.000 0.204 0.500
Y2 0.000 0.294 0.145
Y3 0.000 0.500 0.339
```


2.
The following is a theoretical XRD peak list of Ac2NdZn4. It was derived from DFT lattice parameters and positions (PBE), using Cu Kα, 1.54184 Å.

Largest 8 diffraction maxima, sorted by position, 2θ from 10° to 90°:
d_spacing  intensity  hkl
3.461  80  1 0 3
3.360  52  1 1 2
2.748  100  2 0 0
2.534  93  1 1 4
2.152  44  2 1 3
1.943  37  2 2 0
1.542  40  3 1 4
1.508  30  2 1 7

Structural model:
```
data_Ac2NdZn4
_cell_length_a 5.496
_cell_length_b 5.496
_cell_length_c 13.367
_cell_angle_alpha 90.00
_cell_angle_beta 90.00
_cell_angle_gamma 90.00
_symmetry_space_group_name_H-M 'I 4/m m m'
_symmetry_Int_Tables_number 139
_symmetry_space_group_name_Hall '-I 4 2'
loop_
_atom_site_label
_atom_site_fract_x
_atom_site_fract_y
_atom_site_fract_z
Ac1 0.000 0.000 0.216
Nd1 0.000 0.000 0.500
Zn1 0.000 0.500 0.100
```